For Ba2In4Ga3Bi, a crystal structure in Alexandria, relaxed with GGA-PBE gives the simulated X-ray powder pattern in this record (Cu Kα, 1.54184 Å).

Atomic structure:
```
Ba2In4Ga3Bi
1.0
5.1050 0.0000 0.0000
0.0000 5.1050 0.0000
0.0000 0.0000 11.3306
Ba In Ga Bi
2 4 3 1
direct
0.0000 0.5000 0.2455
0.5000 0.0000 0.7545
0.0000 0.0000 0.0000
0.0000 0.5000 0.6403
0.5000 0.0000 0.3597
0.5000 0.5000 0.0000
0.0000 0.5000 0.8804
0.5000 0.0000 0.1196
0.5000 0.5000 0.5000
0.0000 0.0000 0.5000
```

Principal peaks in the range 15° ≤ 2θ ≤ 90°, sorted by position:
Position (°2θ), d (Å), I (rel.)
29.36, 3.042, 100
35.16, 2.552, 46
40.48, 2.228, 17
46.48, 1.954, 16
50.57, 1.805, 16
59.55, 1.552, 23



For Ba3Ga2BiO8, a crystal structure in Alexandria, relaxed with GGA-PBE gives the simulated X-ray powder pattern in this record (Cu Kα, 1.54184 Å).

Atomic structure:
```
Ba3Ga2BiO8
1.0
6.0314 0.0000 0.0000
-3.0157 5.2234 0.0000
0.0000 0.0000 7.6407
Ba Ga Bi O
3 2 1 8
direct
0.0000 0.0000 0.0000
0.3333 0.6667 0.6612
0.6667 0.3333 0.3388
0.3333 0.6667 0.2125
0.6667 0.3333 0.7875
0.0000 0.0000 0.5000
0.1692 0.3383 0.3181
0.1692 0.8308 0.3181
0.3333 0.6667 0.9797
0.3383 0.1692 0.6819
0.6617 0.8308 0.3181
0.6667 0.3333 0.0203
0.8308 0.1692 0.6819
0.8308 0.6617 0.6819
```

Principal peaks in the range 15° ≤ 2θ ≤ 90°, sorted by position:
Position (°2θ), d (Å), I (rel.)
28.96, 3.084, 91
29.62, 3.016, 100
41.90, 2.156, 46
52.15, 1.754, 36
52.56, 1.741, 20
61.50, 1.508, 16



For BaGaBiO4, a crystal structure in Alexandria, relaxed with GGA-PBE gives the simulated X-ray powder pattern in this record (Cu Kα, 1.54184 Å).

Atomic structure:
```
BaGaBiO4
1.0
6.4145 0.0000 0.0000
0.0000 5.9831 0.0000
-3.0697 0.0000 6.8244
Ba Ga Bi O
2 2 2 8
direct
0.2111 0.2500 0.4673
0.7889 0.7500 0.5327
0.2207 0.7500 0.1959
0.7793 0.2500 0.8041
0.3010 0.2500 0.0252
0.6990 0.7500 0.9748
0.0102 0.7500 0.9315
0.0326 0.7500 0.3282
0.4240 0.5071 0.2518
0.4240 0.9929 0.2518
0.5760 0.0071 0.7482
0.5760 0.4929 0.7482
0.9674 0.2500 0.6718
0.9898 0.2500 0.0685
```

Principal peaks in the range 15° ≤ 2θ ≤ 90°, sorted by position:
Position (°2θ), d (Å), I (rel.)
21.24, 4.183, 87
23.75, 3.746, 29
28.50, 3.132, 100
29.87, 2.992, 53
38.64, 2.330, 38
45.68, 1.986, 29



For Ba2Ga11BiO20, a crystal structure in Alexandria, relaxed with GGA-PBE gives the simulated X-ray powder pattern in this record (Cu Kα, 1.54184 Å).

Atomic structure:
```
Ba2Ga11BiO20
1.0
7.9441 -5.9453 0.0000
7.9441 5.9453 0.0000
-1.6088 0.0000 4.9398
Ba Ga Bi O
2 11 1 20
direct
0.0000 0.0000 0.0000
0.7154 0.7154 0.7459
0.0797 0.3512 0.2434
0.1340 0.5625 0.8999
0.2198 0.2198 0.7331
0.2905 0.8659 0.5887
0.3512 0.0797 0.2434
0.4294 0.7048 0.0883
0.5625 0.1340 0.8999
0.7048 0.4294 0.0883
0.7242 0.9985 0.4019
0.8659 0.2905 0.5887
0.9985 0.7242 0.4019
0.4274 0.4274 0.3831
0.0064 0.7140 0.7596
0.0306 0.2668 0.8552
0.0424 0.5465 0.1642
0.1106 0.8451 0.4111
0.1566 0.1566 0.3472
0.1761 0.4123 0.6224
0.2668 0.0306 0.8552
0.2910 0.2910 0.1301
0.3164 0.5838 0.1109
0.3789 0.8827 0.3167
0.4123 0.1761 0.6224
0.4194 0.7133 0.7342
0.5465 0.0424 0.1642
0.5838 0.3164 0.1109
0.6090 0.6090 0.2362
0.7133 0.4194 0.7342
0.7140 0.0064 0.7596
0.8090 0.8090 0.2756
0.8451 0.1106 0.4111
0.8827 0.3789 0.3167
```

Principal peaks in the range 15° ≤ 2θ ≤ 90°, sorted by position:
Position (°2θ), d (Å), I (rel.)
27.99, 3.188, 69
28.32, 3.151, 67
28.69, 3.112, 100
30.47, 2.934, 63
34.54, 2.597, 53
55.24, 1.663, 47



For Rb2BaGaBi2, a crystal structure in Alexandria, relaxed with GGA-PBE gives the simulated X-ray powder pattern in this record (Cu Kα, 1.54184 Å).

Atomic structure:
```
Rb2BaGaBi2
1.0
5.1448 0.0000 0.0000
0.0000 10.2590 0.0000
0.0000 0.0000 9.4951
Rb Ba Ga Bi
4 2 2 4
direct
0.0000 0.0958 0.0000
0.0000 0.9042 0.5000
0.5000 0.1629 0.3342
0.5000 0.8371 0.8342
0.5000 0.4671 0.9770
0.5000 0.5329 0.4770
0.0000 0.3322 0.6397
0.0000 0.6678 0.1397
0.0000 0.4039 0.2507
0.0000 0.5961 0.7507
0.5000 0.1976 0.7164
0.5000 0.8024 0.2164
```

Principal peaks in the range 15° ≤ 2θ ≤ 90°, sorted by position:
Position (°2θ), d (Å), I (rel.)
21.47, 4.139, 34
26.27, 3.393, 34
26.99, 3.303, 100
31.00, 2.885, 34
31.41, 2.848, 35
34.88, 2.572, 38



For BaGaBi2Ru, a crystal structure in Alexandria, relaxed with GGA-PBE gives the simulated X-ray powder pattern in this record (Cu Kα, 1.54184 Å).

Atomic structure:
```
BaGaBi2Ru
1.0
5.3230 0.0000 0.0000
0.0000 5.3230 0.0000
0.0000 0.0000 5.8039
Ba Ga Bi Ru
1 1 2 1
direct
0.0000 0.0000 0.0000
0.5000 0.5000 0.0000
0.0000 0.5000 0.5000
0.5000 0.0000 0.5000
0.0000 0.0000 0.5000
```

Principal peaks in the range 15° ≤ 2θ ≤ 90°, sorted by position:
Position (°2θ), d (Å), I (rel.)
15.27, 5.804, 38
28.26, 3.158, 100
30.81, 2.902, 40
33.67, 2.662, 63
46.29, 1.961, 52
56.96, 1.617, 29